1.
# Sc6AgC4
Theoretical powder XRD pattern, Cu Kα, 1.54184 Å. Input: DFT lattice parameters and positions (GGA-PBE).

Crystal structure
Cell: 3.398 11.262 17.937 Å, 90.00 90.00 90.00°
Space group Cmcm (No. 63)
One atom of each set of equivalent atoms:
1 Sc 0.000 0.000 0.000
2 Sc 0.000 0.148 0.250
3 Sc 0.000 0.273 0.575
4 Sc 0.000 0.471 0.142
5 Ag 0.000 0.149 0.750
6 C 0.000 0.095 0.129
7 C 0.000 0.363 0.041

Principal peaks in the range 10° ≤ 2θ ≤ 80°, sorted by position:
| Position (°2θ) | Rel. int. | index |
| --- | --- | --- |
| 16.50 | 20.0 | 0 2 1 |
| 33.35 | 29.5 | 0 4 2 |
| 34.01 | 100.0 | 0 2 6 |
| 37.07 | 74.4 | 1 3 2 |
| 37.32 | 19.7 | 1 1 5 |
| 37.73 | 15.8 | 0 4 4 |
| 38.79 | 22.0 | 1 3 3 |
| 53.97 | 17.4 | 2 0 0 |

=====

2.
# Sm2AgC2
Theoretical powder XRD pattern, Cu Kα, 1.54184 Å. Input: DFT lattice parameters and positions (GGA-PBE).

Crystal structure
Cell: 14.520 4.131 6.894 Å, 90.00 104.53 90.00°
Space group C2/c (No. 15)
One atom of each set of equivalent atoms:
1 Sm 0.150 0.163 0.130
2 Ag 0.000 0.390 0.750
3 C 0.225 0.373 0.526

Principal peaks in the range 10° ≤ 2θ ≤ 80°, sorted by position:
| Position (°2θ) | Rel. int. | index |
| --- | --- | --- |
| 26.97 | 33.5 | 1 1 1 |
| 28.81 | 56.2 | 3 1 0 |
| 29.71 | 100.0 | 3 1 -1 |
| 32.46 | 67.4 | 2 0 2 |
| 33.86 | 51.6 | 1 1 -2 |
| 38.43 | 29.7 | 6 0 0 |
| 45.31 | 35.7 | 1 1 -3 |
| 46.00 | 28.2 | 0 2 1 |

=====

3.
# Ta2AgC
Theoretical powder XRD pattern, Cu Kα, 1.54184 Å. Input: DFT lattice parameters and positions (GGA-PBE).

Crystal structure
Cell: 6.646 6.646 5.745 Å, 90.00 90.00 90.00°
Space group I-42d (No. 122)
One atom of each set of equivalent atoms:
1 Ta 0.164 0.250 0.125
2 Ag 0.000 0.000 0.500
3 C 0.000 0.000 0.000

Principal peaks in the range 10° ≤ 2θ ≤ 80°, sorted by position:
| Position (°2θ) | Rel. int. | index |
| --- | --- | --- |
| 33.96 | 100.0 | 2 1 1 |
| 36.67 | 85.4 | 1 1 2 |
| 38.30 | 29.3 | 2 2 0 |
| 43.80 | 30.0 | 3 0 1 |
| 52.11 | 21.1 | 3 2 1 |
| 54.07 | 17.9 | 3 1 2 |
| 70.97 | 20.1 | 3 2 3 |
| 73.06 | 17.9 | 4 3 1 |

=====

4.
# Tb4AgC2
Theoretical powder XRD pattern, Cu Kα, 1.54184 Å. Input: DFT lattice parameters and positions (GGA-PBE).

Crystal structure
Cell: 3.6253 3.6253 41.3181 Å, 90.00 90.00 120.00°
Space group R-3m (No. 166, hexagonal axes)
One atom of each set of equivalent atoms:
1 Tb 0.0000 0.0000 0.1236
2 Tb 0.0000 0.0000 0.2753
3 Ag 0.0000 0.0000 0.0000
4 C 0.0000 0.0000 0.4238

Principal peaks in the range 10° ≤ 2θ ≤ 80°, sorted by position:
| Position (°2θ) | Rel. int. | index |
| --- | --- | --- |
| 28.51 | 25.3 | 1 0 1 |
| 30.46 | 31.9 | 0 1 5 |
| 32.30 | 100.0 | 1 0 7 |
| 32.51 | 21.5 | 0 0 15 |
| 33.40 | 59.3 | 0 1 8 |
| 40.38 | 26.1 | 1 0 13 |
| 50.34 | 42.5 | 1 1 0 |
| 61.21 | 21.0 | 1 1 15 |

=====

5.
# Tb2AgC
Theoretical powder XRD pattern, Cu Kα, 1.54184 Å. Input: DFT lattice parameters and positions (GGA-PBE).

Crystal structure
Cell: 6.316 3.673 7.773 Å, 90.00 106.45 90.00°
Space group P2_1/m (No. 11)
One atom of each set of equivalent atoms:
1 Tb 0.018 0.250 0.314
2 Tb 0.477 0.250 0.675
3 Ag 0.294 0.250 0.002
4 C 0.244 0.750 0.496

Principal peaks in the range 10° ≤ 2θ ≤ 80°, sorted by position:
| Position (°2θ) | Rel. int. | index |
| --- | --- | --- |
| 28.44 | 27.8 | 2 0 -1 |
| 29.19 | 28.6 | 1 1 -1 |
| 32.38 | 45.6 | 2 0 -2 |
| 32.52 | 100.0 | 1 1 1 |
| 34.54 | 55.8 | 1 1 -2 |
| 34.99 | 23.0 | 2 0 1 |
| 36.15 | 41.6 | 0 0 3 |
| 49.93 | 33.4 | 3 1 -1 |

=====

6.
# Th8AgC6
Theoretical powder XRD pattern, Cu Kα, 1.54184 Å. Input: DFT lattice parameters and positions (GGA-PBE).

Crystal structure
Cell: 10.1086 10.1086 12.0236 Å, 90.00 90.00 120.00°
Space group R-3 (No. 148, hexagonal axes)
One atom of each set of equivalent atoms:
1 Th 0.0000 0.0000 0.2372
2 Th 0.0216 0.2934 0.0845
3 Ag 0.0000 0.0000 0.5000
4 C 0.0089 0.1975 0.8829

Principal peaks in the range 10° ≤ 2θ ≤ 80°, sorted by position:
| Position (°2θ) | Rel. int. | index |
| --- | --- | --- |
| 25.17 | 32.0 | 2 0 2 |
| 27.97 | 27.4 | 2 1 1 |
| 28.42 | 100.0 | 1 1 3 |
| 30.64 | 82.4 | 3 0 0 |
| 30.85 | 23.7 | 1 2 2 |
| 36.25 | 22.3 | 0 2 4 |
| 47.75 | 27.2 | 5 -3 2 |
| 54.99 | 24.3 | 3 2 4 |

=====

7.
# Ti6AgC
Theoretical powder XRD pattern, Cu Kα, 1.54184 Å. Input: DFT lattice parameters and positions (GGA-PBE).

Crystal structure
Cell: 7.8783 7.8783 7.1942 Å, 90.00 90.00 120.00°
Space group R-3 (No. 148, hexagonal axes)
One atom of each set of equivalent atoms:
1 Ti 0.0621 0.8221 0.1644
2 Ag 0.0000 0.0000 0.5000
3 C 0.0000 0.0000 0.0000

Principal peaks in the range 10° ≤ 2θ ≤ 80°, sorted by position:
| Position (°2θ) | Rel. int. | index |
| --- | --- | --- |
| 17.92 | 10.6 | 1 0 1 |
| 22.57 | 15.8 | 1 1 0 |
| 37.03 | 100.0 | 3 -1 1 |
| 37.50 | 31.1 | 0 0 3 |
| 43.16 | 70.7 | 1 2 2 |
| 62.37 | 19.1 | 4 1 0 |
| 63.01 | 20.9 | 3 -1 4 |
| 75.10 | 19.4 | 4 1 3 |

=====

8.
# Tm3AgC
Theoretical powder XRD pattern, Cu Kα, 1.54184 Å. Input: DFT lattice parameters and positions (GGA-PBE).

Crystal structure
Cell: 8.678 3.559 14.247 Å, 90.00 90.00 90.00°
Space group Pnma (No. 62)
One atom of each set of equivalent atoms:
1 Tm 0.011 0.250 0.101
2 Tm 0.180 0.250 0.519
3 Tm 0.201 0.750 0.309
4 Ag 0.089 0.750 0.682
5 C 0.160 0.250 0.953

Principal peaks in the range 10° ≤ 2θ ≤ 80°, sorted by position:
| Position (°2θ) | Rel. int. | index |
| --- | --- | --- |
| 27.06 | 8.9 | 1 0 4 |
| 29.89 | 9.1 | 1 1 2 |
| 31.56 | 24.5 | 3 0 1 |
| 32.52 | 12.9 | 2 0 4 |
| 33.12 | 100.0 | 1 0 5 |
| 34.95 | 25.6 | 2 1 2 |
| 51.34 | 11.2 | 0 2 0 |
| 60.78 | 9.3 | 5 1 2 |

=====

9.
# Tm6AgC3
Theoretical powder XRD pattern, Cu Kα, 1.54184 Å. Input: DFT lattice parameters and positions (GGA-PBE).

Crystal structure
Cell: 10.708 3.558 11.330 Å, 90.00 108.32 90.00°
Space group P2_1/m (No. 11)
One atom of each set of equivalent atoms:
1 Tm 0.039 0.250 0.382
2 Tm 0.147 0.750 0.140
3 Tm 0.256 0.250 0.669
4 Tm 0.324 0.750 0.436
5 Tm 0.365 0.750 0.951
6 Tm 0.446 0.250 0.236
7 Ag 0.128 0.250 0.888
8 C 0.152 0.750 0.532
9 C 0.240 0.250 0.288
10 C 0.458 0.250 0.856

Principal peaks in the range 10° ≤ 2θ ≤ 80°, sorted by position:
| Position (°2θ) | Rel. int. | index |
| --- | --- | --- |
| 30.04 | 37.0 | 3 0 1 |
| 30.29 | 40.7 | 2 1 -1 |
| 31.63 | 84.0 | 1 0 -4 |
| 32.18 | 76.9 | 2 1 -2 |
| 32.88 | 100.0 | 1 1 2 |
| 33.95 | 29.2 | 4 0 -2 |
| 35.49 | 29.2 | 3 0 2 |
| 51.79 | 31.9 | 5 1 0 |

=====

10.
# Tm2Ag2C
Theoretical powder XRD pattern, Cu Kα, 1.54184 Å. Input: DFT lattice parameters and positions (GGA-PBE).

Crystal structure
Cell: 3.5041 3.5041 28.3829 Å, 90.00 90.00 120.00°
Space group R-3m (No. 166, hexagonal axes)
One atom of each set of equivalent atoms:
1 Tm 0.0000 0.0000 0.1197
2 Ag 0.0000 0.0000 0.3692
3 C 0.0000 0.0000 0.5000

Principal peaks in the range 10° ≤ 2θ ≤ 80°, sorted by position:
| Position (°2θ) | Rel. int. | index |
| --- | --- | --- |
| 32.08 | 100.0 | 1 0 4 |
| 38.04 | 17.9 | 0 0 12 |
| 39.06 | 59.6 | 0 1 8 |
| 52.21 | 27.3 | 1 1 0 |
| 60.45 | 16.8 | 1 0 16 |
| 62.61 | 14.4 | 0 2 4 |
| 66.40 | 20.6 | 1 1 12 |
| 67.09 | 11.7 | 2 0 8 |

=====

11.
# ZrAgC
Theoretical powder XRD pattern, Cu Kα, 1.54184 Å. Input: DFT lattice parameters and positions (GGA-PBE).

Crystal structure
Cell: 3.4889 3.4889 29.0160 Å, 90.00 90.00 120.00°
Space group R-3m (No. 166, hexagonal axes)
One atom of each set of equivalent atoms:
1 Zr 0.0000 0.0000 0.1154
2 Ag 0.0000 0.0000 0.3691
3 C 0.0000 0.0000 0.2464

Principal peaks in the range 10° ≤ 2θ ≤ 80°, sorted by position:
| Position (°2θ) | Rel. int. | index |
| --- | --- | --- |
| 32.09 | 100.0 | 1 0 4 |
| 37.18 | 15.9 | 0 0 12 |
| 38.79 | 64.8 | 0 1 8 |
| 52.45 | 30.0 | 1 1 0 |
| 59.44 | 10.4 | 1 0 16 |
| 62.83 | 13.9 | 0 2 4 |
| 66.04 | 16.9 | 1 1 12 |
| 67.12 | 11.8 | 2 0 8 |

=====

12.
# CaAg
Theoretical powder XRD pattern, Cu Kα, 1.54184 Å. Input: DFT lattice parameters and positions (GGA-PBE).

Crystal structure
Cell: 3.757 3.757 7.734 Å, 90.00 90.00 90.00°
Space group P4/nmm (No. 129, origin choice 2)
One atom of each set of equivalent atoms:
1 Ca 0.250 0.250 0.189
2 Ag 0.250 0.250 0.591

Principal peaks in the range 10° ≤ 2θ ≤ 80°, sorted by position:
| Position (°2θ) | Rel. int. | index |
| --- | --- | --- |
| 11.44 | 100.0 | 0 0 1 |
| 33.25 | 92.1 | 1 0 2 |
| 33.74 | 61.3 | 1 1 0 |
| 35.74 | 27.2 | 1 1 1 |
| 42.53 | 43.6 | 1 0 3 |
| 48.46 | 20.9 | 2 0 0 |
| 60.04 | 30.5 | 2 1 2 |
| 66.42 | 21.4 | 2 1 3 |